# Rb2MnSbO6
Theoretical X-ray powder pattern, Cu Kα (λ = 1.5418 Å). Input: a structure optimized by DFT (PBE+U).
Peak positions follow from Bragg's law for the DFT cell and can differ from measured ones.

Most intense lines, 10° ≤ 2θ ≤ 90°, in order of rising 2θ:
d/Å, Rel. int., index
5.492, 66, 1 0 0
3.816, 70, 1 0 1
3.171, 100, 1 1 0
2.439, 48, 0 2 1
2.389, 42, 0 1 2
1.933, 18, 2 1 1
1.908, 36, 2 0 2
1.831, 18, 3 0 0
1.635, 38, 1 2 2
1.585, 18, 2 2 0

Structure:
abc: 6.3416 6.3416 5.3055
angles: 90.00 90.00 120.00
Space group P-3m1 (No. 164)
Asymmetric unit:
Rb  0.3333  0.6667  0.1707 [2 per cell]
Mn  0.0000  0.0000  0.0000 [1 per cell]
Sb  0.0000  0.0000  0.5000 [1 per cell]
O  0.1349  0.2699  0.7603 [6 per cell]